This entry pairs a crystal structure of Li4CaPb2 with its theoretical powder XRD pattern. Radiation: Cu Kα, 1.54184 Å. Structure: the PBE geometry in Alexandria.

Most intense lines, 10 to 90 degrees two-theta, sorted by position:
2θ/deg	I/Imax
21.81	44
24.09	100
24.42	27
30.77	15
31.04	24
38.04	25
39.67	34
43.69	15
45.91	16
59.89	21

Crystal structure
```
data_Li4CaPb2
_cell_length_a 8.1503
_cell_length_b 8.1503
_cell_length_c 4.8120
_cell_angle_alpha 90.00
_cell_angle_beta 90.00
_cell_angle_gamma 90.00
_symmetry_space_group_name_H-M 'P 1'
_symmetry_Int_Tables_number 1
loop_
_symmetry_equiv_pos_as_xyz
'x,y,z'
loop_
_atom_site_label
_atom_site_fract_x
_atom_site_fract_y
_atom_site_fract_z
Li1 0.1105 0.3619 0.0000
Li2 0.1381 0.6105 0.5000
Li3 0.3619 0.1105 0.0000
Li4 0.3895 0.8619 0.5000
Li5 0.6105 0.1381 0.5000
Li6 0.6381 0.8895 0.0000
Li7 0.8619 0.3895 0.5000
Li8 0.8895 0.6381 0.0000
Ca1 0.0000 0.0000 0.5000
Ca2 0.5000 0.5000 0.0000
Pb1 0.2082 0.7918 0.0000
Pb2 0.2918 0.2918 0.5000
Pb3 0.7082 0.7082 0.5000
Pb4 0.7918 0.2082 0.0000
```

---

This entry pairs a crystal structure of TbEr6Te8 with its theoretical powder XRD pattern. Radiation: Cu Kα, 1.54184 Å. Structure: the PBE geometry in Alexandria.

Most intense lines, 10 to 90 degrees two-theta, sorted by position:
2θ/deg	I/Imax
12.59	3
14.55	3
24.25	4
29.34	100
32.04	3
41.98	75
52.04	27
60.87	12
68.99	34
76.69	25

Crystal structure
```
data_TbEr6Te8
_cell_length_a 8.6089
_cell_length_b 8.6089
_cell_length_c 8.6089
_cell_angle_alpha 60.00
_cell_angle_beta 60.00
_cell_angle_gamma 60.00
_symmetry_space_group_name_H-M 'P 1'
_symmetry_Int_Tables_number 1
loop_
_symmetry_equiv_pos_as_xyz
'x,y,z'
loop_
_atom_site_label
_atom_site_fract_x
_atom_site_fract_y
_atom_site_fract_z
Tb1 0.0000 0.0000 0.0000
Er1 0.0000 0.0000 0.5000
Er2 0.0000 0.5000 0.0000
Er3 0.0000 0.5000 0.5000
Er4 0.5000 0.0000 0.0000
Er5 0.5000 0.0000 0.5000
Er6 0.5000 0.5000 0.0000
Te1 0.2500 0.2500 0.2500
Te2 0.2579 0.2579 0.7421
Te3 0.2579 0.7421 0.2579
Te4 0.2579 0.7421 0.7421
Te5 0.7421 0.2579 0.2579
Te6 0.7421 0.2579 0.7421
Te7 0.7421 0.7421 0.2579
Te8 0.7500 0.7500 0.7500
```

---

This entry pairs a crystal structure of Sm3Ho2Tm6Pu with its theoretical powder XRD pattern. Radiation: Cu Kα, 1.54184 Å. Structure: the PBE geometry in Alexandria.

Most intense lines, 10 to 90 degrees two-theta, sorted by position:
2θ/deg	I/Imax
31.13	100
31.37	32
36.17	67
51.92	24
52.24	23
61.78	14
61.93	28
62.22	14
64.91	12
84.86	12

Crystal structure
```
data_Sm3Ho2Tm6Pu
_cell_length_a 6.1010
_cell_length_b 6.1010
_cell_length_c 11.5856
_cell_angle_alpha 95.04
_cell_angle_beta 95.04
_cell_angle_gamma 120.00
_symmetry_space_group_name_H-M 'P 1'
_symmetry_Int_Tables_number 1
loop_
_symmetry_equiv_pos_as_xyz
'x,y,z'
loop_
_atom_site_label
_atom_site_fract_x
_atom_site_fract_y
_atom_site_fract_z
Sm1 0.0000 0.0000 0.0000
Sm2 0.3327 0.6673 0.0000
Sm3 0.6673 0.3327 0.0000
Ho1 0.1666 0.8334 0.5000
Ho2 0.8334 0.1666 0.5000
Tm1 0.0888 0.4180 0.2542
Tm2 0.2527 0.2527 0.7459
Tm3 0.4180 0.0888 0.2542
Tm4 0.5820 0.9112 0.7458
Tm5 0.7473 0.7473 0.2541
Tm6 0.9112 0.5820 0.7458
Pu1 0.5000 0.5000 0.5000
```

---

This entry pairs a crystal structure of MnNb2Cu with its theoretical powder XRD pattern. Radiation: Cu Kα, 1.54184 Å. Structure: the PBE geometry in Alexandria.

Most intense lines, 10 to 90 degrees two-theta, sorted by position:
2θ/deg	I/Imax
28.74	6
41.09	100
50.91	2
59.51	16
67.41	2
74.87	31
89.16	10

Crystal structure
```
data_MnNb2Cu
_cell_length_a 4.3934
_cell_length_b 4.3934
_cell_length_c 4.3934
_cell_angle_alpha 60.00
_cell_angle_beta 60.00
_cell_angle_gamma 60.00
_symmetry_space_group_name_H-M 'P 1'
_symmetry_Int_Tables_number 1
loop_
_symmetry_equiv_pos_as_xyz
'x,y,z'
loop_
_atom_site_label
_atom_site_fract_x
_atom_site_fract_y
_atom_site_fract_z
Mn1 0.0000 0.0000 0.0000
Nb1 0.2500 0.2500 0.2500
Nb2 0.7500 0.7500 0.7500
Cu1 0.5000 0.5000 0.5000
```

---

This entry pairs a crystal structure of Ta2Tc3 with its theoretical powder XRD pattern. Radiation: Cu Kα, 1.54184 Å. Structure: the PBE geometry in Alexandria.

Most intense lines, 10 to 90 degrees two-theta, sorted by position:
2θ/deg	I/Imax
27.70	13
38.63	100
39.09	98
40.32	45
48.52	52
63.11	24
64.86	22
70.52	17
72.48	16
73.19	15

Crystal structure
```
data_Ta2Tc3
_cell_length_a 8.1011
_cell_length_b 7.2695
_cell_length_c 5.2192
_cell_angle_alpha 79.02
_cell_angle_beta 61.75
_cell_angle_gamma 39.23
_symmetry_space_group_name_H-M 'P 1'
_symmetry_Int_Tables_number 1
loop_
_symmetry_equiv_pos_as_xyz
'x,y,z'
loop_
_atom_site_label
_atom_site_fract_x
_atom_site_fract_y
_atom_site_fract_z
Ta1 0.0725 0.0725 0.6775
Ta2 0.3225 0.3225 0.9275
Ta3 0.6775 0.6775 0.0725
Ta4 0.9275 0.9275 0.3225
Tc1 0.1250 0.1250 0.1250
Tc2 0.2802 0.2802 0.4698
Tc3 0.4698 0.4698 0.2802
Tc4 0.5302 0.5302 0.7198
Tc5 0.7198 0.7198 0.5302
Tc6 0.8750 0.8750 0.8750
```

---

This entry pairs a crystal structure of LiMg2H7Os with its theoretical powder XRD pattern. Radiation: Cu Kα, 1.54184 Å. Structure: the PBE geometry in Alexandria.

Most intense lines, 10 to 90 degrees two-theta, sorted by position:
2θ/deg	I/Imax
16.61	91
21.88	87
27.59	100
38.37	44
40.44	51
42.08	51
47.91	22
51.89	22
56.46	21
62.98	20

Crystal structure
```
data_LiMg2H7Os
_cell_length_a 4.6916
_cell_length_b 4.6916
_cell_length_c 10.6746
_cell_angle_alpha 90.00
_cell_angle_beta 90.00
_cell_angle_gamma 120.00
_symmetry_space_group_name_H-M 'P 1'
_symmetry_Int_Tables_number 1
loop_
_symmetry_equiv_pos_as_xyz
'x,y,z'
loop_
_atom_site_label
_atom_site_fract_x
_atom_site_fract_y
_atom_site_fract_z
Li1 0.0000 0.0000 0.2500
Li2 0.0000 0.0000 0.7500
Mg1 0.3333 0.6667 0.0758
Mg2 0.3333 0.6667 0.4242
Mg3 0.6667 0.3333 0.5758
Mg4 0.6667 0.3333 0.9242
H1 0.1665 0.3329 0.5975
H2 0.1665 0.3329 0.9025
H3 0.1665 0.8335 0.5975
H4 0.1665 0.8335 0.9025
H5 0.3329 0.1665 0.0975
H6 0.3329 0.1665 0.4025
H7 0.3333 0.6667 0.2500
H8 0.6667 0.3333 0.7500
H9 0.6671 0.8335 0.5975
H10 0.6671 0.8335 0.9025
H11 0.8335 0.1665 0.0975
H12 0.8335 0.1665 0.4025
H13 0.8335 0.6671 0.0975
H14 0.8335 0.6671 0.4025
Os1 0.0000 0.0000 0.0000
Os2 0.0000 0.0000 0.5000
```

---

This entry pairs a crystal structure of ZnCd4Cl with its theoretical powder XRD pattern. Radiation: Cu Kα, 1.54184 Å. Structure: the PBE geometry in Alexandria.

Most intense lines, 10 to 90 degrees two-theta, sorted by position:
2θ/deg	I/Imax
18.36	44
30.20	10
35.58	100
37.21	66
43.24	19
47.34	11
57.19	32
62.80	30
74.31	11
75.32	23

Crystal structure
```
data_ZnCd4Cl
_cell_length_a 5.9183
_cell_length_b 5.9183
_cell_length_c 5.9183
_cell_angle_alpha 60.00
_cell_angle_beta 60.00
_cell_angle_gamma 60.00
_symmetry_space_group_name_H-M 'P 1'
_symmetry_Int_Tables_number 1
loop_
_symmetry_equiv_pos_as_xyz
'x,y,z'
loop_
_atom_site_label
_atom_site_fract_x
_atom_site_fract_y
_atom_site_fract_z
Zn1 0.0000 0.0000 0.0000
Cd1 0.1231 0.6256 0.6256
Cd2 0.6256 0.1231 0.6256
Cd3 0.6256 0.6256 0.1231
Cd4 0.6256 0.6256 0.6256
Cl1 0.2500 0.2500 0.2500
```

---

This entry pairs a crystal structure of Sr4BiO7 with its theoretical powder XRD pattern. Radiation: Cu Kα, 1.54184 Å. Structure: the PBE geometry in Alexandria.

Most intense lines, 10 to 90 degrees two-theta, sorted by position:
2θ/deg	I/Imax
14.52	28
17.10	22
17.35	37
28.84	100
29.04	53
29.45	67
29.83	36
41.21	46
42.12	39
51.35	23

Crystal structure
```
data_Sr4BiO7
_cell_length_a 7.1400
_cell_length_b 6.1504
_cell_length_c 9.3111
_cell_angle_alpha 90.00
_cell_angle_beta 99.58
_cell_angle_gamma 90.00
_symmetry_space_group_name_H-M 'P 1'
_symmetry_Int_Tables_number 1
loop_
_symmetry_equiv_pos_as_xyz
'x,y,z'
loop_
_atom_site_label
_atom_site_fract_x
_atom_site_fract_y
_atom_site_fract_z
Sr1 0.0044 0.0000 0.3784
Sr2 0.1166 0.5438 0.0784
Sr3 0.4027 0.4993 0.4415
Sr4 0.4928 0.4805 0.8657
Sr5 0.5072 0.9805 0.1343
Sr6 0.5973 0.9993 0.5585
Sr7 0.8834 0.0438 0.9216
Sr8 0.9956 0.5000 0.6216
Bi1 0.2413 0.0006 0.7533
Bi2 0.7587 0.5006 0.2467
O1 0.0505 0.4293 0.3328
O2 0.1632 0.3018 0.8603
O3 0.2130 0.8461 0.9510
O4 0.2630 0.1874 0.5651
O5 0.3197 0.8756 0.3242
O6 0.3249 0.7096 0.6528
O7 0.4611 0.5516 0.1596
O8 0.5389 0.0516 0.8404
O9 0.6751 0.2096 0.3472
O10 0.6803 0.3756 0.6758
O11 0.7370 0.6874 0.4349
O12 0.7870 0.3461 0.0490
O13 0.8368 0.8018 0.1397
O14 0.9495 0.9293 0.6672
```

---

This entry pairs a crystal structure of AcPm10Tm6 with its theoretical powder XRD pattern. Radiation: Cu Kα, 1.54184 Å. Structure: the PBE geometry in Alexandria.

Most intense lines, 10 to 90 degrees two-theta, sorted by position:
2θ/deg	I/Imax
24.56	6
30.65	18
31.59	100
40.37	5
45.27	15
48.44	7
56.19	17
56.39	10
58.95	5
62.19	5

Crystal structure
```
data_AcPm10Tm6
_cell_length_a 9.8284
_cell_length_b 9.8284
_cell_length_c 6.9188
_cell_angle_alpha 90.00
_cell_angle_beta 90.00
_cell_angle_gamma 120.00
_symmetry_space_group_name_H-M 'P 1'
_symmetry_Int_Tables_number 1
loop_
_symmetry_equiv_pos_as_xyz
'x,y,z'
loop_
_atom_site_label
_atom_site_fract_x
_atom_site_fract_y
_atom_site_fract_z
Ac1 0.0000 0.0000 0.0000
Pm1 0.0000 0.2841 0.3281
Pm2 0.0000 0.7159 0.6719
Pm3 0.2841 0.0000 0.3281
Pm4 0.2841 0.2841 0.6719
Pm5 0.3333 0.6667 0.0000
Pm6 0.3333 0.6667 0.5000
Pm7 0.6667 0.3333 0.0000
Pm8 0.6667 0.3333 0.5000
Pm9 0.7159 0.0000 0.6719
Pm10 0.7159 0.7159 0.3281
Tm1 0.0000 0.3693 0.8164
Tm2 0.0000 0.6307 0.1836
Tm3 0.3693 0.0000 0.8164
Tm4 0.3693 0.3693 0.1836
Tm5 0.6307 0.0000 0.1836
Tm6 0.6307 0.6307 0.8164
```

---

This entry pairs a crystal structure of PmS3O9 with its theoretical powder XRD pattern. Radiation: Cu Kα, 1.54184 Å. Structure: the PBE geometry in Alexandria.

Most intense lines, 10 to 90 degrees two-theta, sorted by position:
2θ/deg	I/Imax
12.23	71
15.56	61
17.22	63
24.28	89
25.32	100
27.49	82
32.12	41
35.36	34
44.75	33
47.94	45

Crystal structure
```
data_PmS3O9
_cell_length_a 7.3734
_cell_length_b 7.3734
_cell_length_c 7.3329
_cell_angle_alpha 90.00
_cell_angle_beta 90.00
_cell_angle_gamma 101.09
_symmetry_space_group_name_H-M 'P 1'
_symmetry_Int_Tables_number 1
loop_
_symmetry_equiv_pos_as_xyz
'x,y,z'
loop_
_atom_site_label
_atom_site_fract_x
_atom_site_fract_y
_atom_site_fract_z
Pm1 0.1136 0.1136 0.0000
Pm2 0.8864 0.8864 0.5000
S1 0.2253 0.2253 0.5000
S2 0.2703 0.6319 0.9485
S3 0.3681 0.7297 0.5515
S4 0.6319 0.2703 0.0515
S5 0.7297 0.3681 0.4485
S6 0.7747 0.7747 0.0000
O1 0.1102 0.1374 0.6671
O2 0.1374 0.1102 0.3329
O3 0.1461 0.4474 0.9546
O4 0.1708 0.7849 0.9370
O5 0.2152 0.8292 0.5630
O6 0.3456 0.5850 0.4197
O7 0.3765 0.6235 0.7500
O8 0.4150 0.6544 0.0803
O9 0.4474 0.1461 0.0454
O10 0.5526 0.8539 0.5454
O11 0.5850 0.3456 0.5803
O12 0.6235 0.3765 0.2500
O13 0.6544 0.4150 0.9197
O14 0.7849 0.1708 0.0630
O15 0.8292 0.2152 0.4370
O16 0.8539 0.5526 0.4546
O17 0.8626 0.8898 0.8329
O18 0.8898 0.8626 0.1671
```

---

This entry pairs a crystal structure of Ca2TbPmTe4 with its theoretical powder XRD pattern. Radiation: Cu Kα, 1.54184 Å. Structure: the PBE geometry in Alexandria.

Most intense lines, 10 to 90 degrees two-theta, sorted by position:
2θ/deg	I/Imax
11.96	14
23.58	9
28.32	100
40.13	39
40.83	37
50.43	20
58.58	13
65.82	18
66.82	17
73.86	12

Crystal structure
```
data_Ca2TbPmTe4
_cell_length_a 7.6557
_cell_length_b 4.4209
_cell_length_c 7.8316
_cell_angle_alpha 90.00
_cell_angle_beta 109.06
_cell_angle_gamma 90.00
_symmetry_space_group_name_H-M 'P 1'
_symmetry_Int_Tables_number 1
loop_
_symmetry_equiv_pos_as_xyz
'x,y,z'
loop_
_atom_site_label
_atom_site_fract_x
_atom_site_fract_y
_atom_site_fract_z
Ca1 0.0000 0.0000 0.0000
Ca2 0.5000 0.5000 0.0000
Tb1 0.0000 0.5000 0.5000
Pm1 0.5000 0.0000 0.5000
Te1 0.2458 0.0000 0.7483
Te2 0.2455 0.5000 0.2490
Te3 0.7542 0.0000 0.2517
Te4 0.7545 0.5000 0.7510
```

---

This entry pairs a crystal structure of NbRh2 with its theoretical powder XRD pattern. Radiation: Cu Kα, 1.54184 Å. Structure: the PBE geometry in Alexandria.

Most intense lines, 10 to 90 degrees two-theta, sorted by position:
2θ/deg	I/Imax
37.23	29
37.61	24
39.82	70
40.96	100
41.82	39
42.99	34
43.66	80
66.97	28
71.15	19
81.85	27

Crystal structure
```
data_NbRh2
_cell_length_a 4.8346
_cell_length_b 2.8081
_cell_length_c 6.9386
_cell_angle_alpha 90.00
_cell_angle_beta 101.84
_cell_angle_gamma 90.00
_symmetry_space_group_name_H-M 'P 1'
_symmetry_Int_Tables_number 1
loop_
_symmetry_equiv_pos_as_xyz
'x,y,z'
loop_
_atom_site_label
_atom_site_fract_x
_atom_site_fract_y
_atom_site_fract_z
Nb1 0.2345 0.0000 0.1742
Nb2 0.7655 0.0000 0.8258
Rh1 0.0000 0.0000 0.5000
Rh2 0.2683 0.5000 0.8356
Rh3 0.5000 0.5000 0.5000
Rh4 0.7317 0.5000 0.1644
```

---

This entry pairs a crystal structure of NaPrSi2Au5 with its theoretical powder XRD pattern. Radiation: Cu Kα, 1.54184 Å. Structure: the PBE geometry in Alexandria.

Most intense lines, 10 to 90 degrees two-theta, sorted by position:
2θ/deg	I/Imax
26.75	30
28.59	38
32.60	100
38.74	47
47.70	26
53.65	30
53.86	17
55.95	16
66.28	27
81.22	19

Crystal structure
```
data_NaPrSi2Au5
_cell_length_a 4.6482
_cell_length_b 4.6482
_cell_length_c 9.9996
_cell_angle_alpha 90.00
_cell_angle_beta 90.00
_cell_angle_gamma 90.00
_symmetry_space_group_name_H-M 'P 1'
_symmetry_Int_Tables_number 1
loop_
_symmetry_equiv_pos_as_xyz
'x,y,z'
loop_
_atom_site_label
_atom_site_fract_x
_atom_site_fract_y
_atom_site_fract_z
Na1 0.0000 0.0000 0.0000
Pr1 0.0000 0.0000 0.5000
Si1 0.5000 0.5000 0.2625
Si2 0.5000 0.5000 0.7375
Au1 0.0000 0.5000 0.2089
Au2 0.0000 0.5000 0.7911
Au3 0.5000 0.0000 0.2089
Au4 0.5000 0.0000 0.7911
Au5 0.5000 0.5000 0.5000
```